For TlTe, DFT lattice parameters and positions (PBE) gives the calculated powder XRD pattern in this record (Cu Kα, 1.54184 Å).
Neutral-atom scattering factors, no anomalous dispersion.

Atomic structure:
abc: 9.7881 9.7881 9.7881
angles: 95.99 95.99 142.31
Fractional positions:
1 Tl 0.0798 0.7716 0.8514
2 Tl 0.2284 0.0798 0.3082
3 Tl 0.2716 0.5798 0.8514
4 Tl 0.4202 0.2716 0.6918
5 Tl 0.5798 0.7284 0.3082
6 Tl 0.7284 0.4202 0.1486
7 Tl 0.7716 0.9202 0.6918
8 Tl 0.9202 0.2284 0.1486
9 Te 0.0000 0.5000 0.5000
10 Te 0.1631 0.3369 0.5000
11 Te 0.2500 0.2500 0.0000
12 Te 0.3369 0.8369 0.1738
13 Te 0.5000 0.0000 0.5000
14 Te 0.6631 0.1631 0.8262
15 Te 0.7500 0.7500 0.0000
16 Te 0.8369 0.6631 0.5000

Top 10 peaks for 10° ≤ 2θ ≤ 80°, sorted by position:
2θ (°)  I/Imax
28.23  41
28.33  55
30.52  54
31.50  100
39.70  20
40.85  15
42.05  18
52.07  22
57.67  28
62.31  13

---

For PrTiTe2, DFT lattice parameters and positions (PBE) gives the calculated powder XRD pattern in this record (Cu Kα, 1.54184 Å).
Neutral-atom scattering factors, no anomalous dispersion.

Atomic structure:
abc: 3.8280 3.8280 29.4155
angles: 90.00 90.00 120.00
Fractional positions:
1 Pr 0.0000 0.0000 0.0000
2 Pr 0.3333 0.6667 0.6667
3 Pr 0.6667 0.3333 0.3333
4 Ti 0.0000 0.0000 0.5000
5 Ti 0.3333 0.6667 0.1667
6 Ti 0.6667 0.3333 0.8333
7 Te 0.0000 0.0000 0.1085
8 Te 0.0000 0.0000 0.8915
9 Te 0.3333 0.6667 0.5582
10 Te 0.3333 0.6667 0.7752
11 Te 0.6667 0.3333 0.2248
12 Te 0.6667 0.3333 0.4418

Top 10 peaks for 10° ≤ 2θ ≤ 80°, sorted by position:
2θ (°)  I/Imax
27.07  100
27.29  46
27.58  68
30.96  18
36.49  70
41.02  65
47.50  50
55.65  38
64.53  16
76.68  22